Structure and calculated PXRD pattern of ZnMo2P2O10 (a structure optimized by DFT (GGA+U); copper Kα).
Peak positions follow from Bragg's law for the DFT cell and can differ from measured ones.

Most intense lines, 2θ = 10–90°, sorted by position:
h k l	Position (°2θ)	d_spacing	I (rel.)
1 1 1	14.92	5.938	1000
0 4 0	21.03	4.224	202
3 1 1	25.26	3.525	253
0 2 2	26.34	3.383	281
3 3 1	29.40	3.038	613
1 5 1	29.89	2.990	450
2 2 2	30.10	2.969	474
4 4 0	35.91	2.501	146
2 6 2	42.88	2.109	182
0 4 4	54.23	1.692	159

Crystal structure
```
data_ZnMo2P2O10
_chemical_formula_sum 'Zn8 Mo16 P16 O80'
_symmetry_space_group_name_H-M 'F d d 2'
_symmetry_Int_Tables_number 43
_symmetry_space_group_name_Hall 'F 2 -2d'
_cell_length_a 12.389
_cell_length_b 16.952
_cell_length_c 7.380
_cell_angle_alpha 90.00
_cell_angle_beta 90.00
_cell_angle_gamma 90.00
loop_
_atom_site_label
_atom_site_type_symbol
_atom_site_fract_x
_atom_site_fract_y
_atom_site_fract_z
Zn1 Zn 0.000 0.000 0.000
Mo1 Mo 0.111 0.113 0.362
P1 P 0.001 0.290 0.232
O1 O 0.007 0.419 0.707
O2 O 0.009 0.156 0.567
O3 O 0.024 0.339 0.401
O4 O 0.098 0.229 0.210
O5 O 0.102 0.262 0.753
```